The following is a computed X-ray diffraction stick pattern of HI. It was derived from a PBE-relaxed structure, using copper Kα.
Lines closer than 0.1° are merged.

Largest 10 diffraction maxima, by angle, 10° ≤ 2θ ≤ 90°:
- 2θ 23.06, I = 26, hkl 0 0 2
- 2θ 23.39, I = 100, hkl 2 2 0
- 2θ 28.78, I = 15, hkl 4 0 -2
- 2θ 28.99, I = 14, hkl 0 4 0
- 2θ 37.35, I = 20, hkl 0 4 2
- 2θ 40.62, I = 11, hkl 2 2 2
- 2θ 41.31, I = 12, hkl 4 4 -2
- 2θ 47.77, I = 14, hkl 4 4 0
- 2θ 47.94, I = 12, hkl 6 2 -4
- 2θ 48.14, I = 13, hkl 2 6 0

Cell lengths 12.406, 12.321, 9.869 Å; angles 90.00, 128.58, 90.00 degrees
Space group C2/c (No. 15)
Inequivalent atoms, fractional coordinates:
H1 0.098 0.168 0.001 [8 per cell]
H2 0.159 0.098 0.480 [8 per cell]
I1 0.005 0.261 0.004 [8 per cell]
I2 0.247 0.001 0.476 [8 per cell]

---

The following is a computed X-ray diffraction stick pattern of LiCd4Ge5O15. It was derived from a PBE-relaxed structure, using copper Kα.
Lines closer than 0.1° are merged.

Largest 10 diffraction maxima, by angle, 10° ≤ 2θ ≤ 90°:
- 2θ 26.39, I = 71, hkl 2 -1 0
- 2θ 27.44, I = 43, hkl 1 2 -2
- 2θ 28.23, I = 47, hkl 2 1 -1
- 2θ 28.92, I = 98, hkl 0 1 -4
- 2θ 31.18, I = 100, hkl 0 2 2
- 2θ 32.19, I = 43, hkl 2 -2 1
- 2θ 34.90, I = 37, hkl 2 1 2
- 2θ 37.79, I = 43, hkl 2 0 -4
- 2θ 50.77, I = 37, hkl 0 1 6
- 2θ 51.14, I = 42, hkl 4 0 -1

Cell lengths 7.196, 8.034, 12.436 Å; angles 106.35, 92.95, 94.94 degrees
Space group P-1 (No. 2)
Inequivalent atoms, fractional coordinates:
Li1 0.159 0.337 0.387 [2 per cell]
Cd1 0.226 0.757 0.982 [2 per cell]
Cd2 0.316 0.965 0.266 [2 per cell]
Cd3 0.366 0.182 0.556 [2 per cell]
Cd4 0.442 0.403 0.849 [2 per cell]
Ge1 0.072 0.527 0.174 [2 per cell]
Ge2 0.145 0.725 0.446 [2 per cell]
Ge3 0.198 0.986 0.770 [2 per cell]
Ge4 0.279 0.182 0.041 [2 per cell]
Ge5 0.391 0.643 0.647 [2 per cell]
O1 0.019 0.032 0.308 [2 per cell]
O2 0.065 0.206 0.495 [2 per cell]
O3 0.077 0.546 0.322 [2 per cell]
O4 0.106 0.298 0.121 [2 per cell]
O5 0.142 0.065 0.912 [2 per cell]
O6 0.148 0.474 0.891 [2 per cell]
O7 0.229 0.586 0.524 [2 per cell]
O8 0.247 0.678 0.153 [2 per cell]
O9 0.274 0.776 0.762 [2 per cell]
O10 0.320 0.885 0.437 [2 per cell]
O11 0.339 0.014 0.096 [2 per cell]
O12 0.375 0.117 0.731 [2 per cell]
O13 0.407 0.240 0.380 [2 per cell]
O14 0.437 0.453 0.678 [2 per cell]
O15 0.465 0.325 0.023 [2 per cell]

---

The following is a computed X-ray diffraction stick pattern of CeMg14B. It was derived from a PBE-relaxed structure, using copper Kα.
Lines closer than 0.1° are merged.

Largest 10 diffraction maxima, by angle, 10° ≤ 2θ ≤ 90°:
- 2θ 16.62, I = 41, hkl 0 1 1
- 2θ 18.74, I = 48, hkl 1 1 1
- 2θ 24.05, I = 34, hkl 2 1 1
- 2θ 28.23, I = 35, hkl 1 1 3
- 2θ 31.02, I = 50, hkl 3 1 1
- 2θ 32.08, I = 35, hkl 2 1 3
- 2θ 33.60, I = 59, hkl 0 2 2
- 2θ 34.59, I = 92, hkl 2 0 4
- 2θ 34.92, I = 41, hkl 4 0 0
- 2θ 38.02, I = 100, hkl 2 2 2

Cell lengths 10.277, 5.953, 12.013 Å; angles 90.00, 90.00, 90.00 degrees
Space group Amm2 (No. 38)
Inequivalent atoms, fractional coordinates:
Ce1 0.000 0.000 0.000 [2 per cell]
Mg1 0.000 0.237 0.262 [4 per cell]
Mg2 0.166 0.000 0.596 [4 per cell]
Mg3 0.252 0.249 0.883 [8 per cell]
Mg4 0.260 0.000 0.142 [4 per cell]
Mg5 0.500 0.000 0.488 [2 per cell]
Mg6 0.500 0.000 0.978 [2 per cell]
Mg7 0.500 0.247 0.731 [4 per cell]
B1 0.000 0.000 0.434 [2 per cell]